(1)
The following is a calculated X-ray diffraction stick pattern of Sr5La2Cl16. It was derived from a cell relaxed with PBE, using a wavelength of 1.5418 Å.

a = 9.0401 Å, b = 9.0401 Å, c = 19.1631 Å
α = 90.00°, β = 90.00°, γ = 112.16°
Atoms (fractional coordinates):
1 Sr 0.2500 0.2500 0.1167
2 Sr 0.2500 0.2500 0.6167
3 Sr 0.2500 0.7500 0.2500
4 Sr 0.2500 0.7500 0.5210
5 Sr 0.2500 0.7500 0.9790
6 Sr 0.7500 0.2500 0.0210
7 Sr 0.7500 0.2500 0.4790
8 Sr 0.7500 0.2500 0.7500
9 Sr 0.7500 0.7500 0.3833
10 Sr 0.7500 0.7500 0.8833
11 La 0.2500 0.2500 0.3675
12 La 0.2500 0.2500 0.8675
13 La 0.7500 0.7500 0.1325
14 La 0.7500 0.7500 0.6325
15 Cl 0.0293 0.6393 0.4031
16 Cl 0.0502 0.2184 0.9790
17 Cl 0.0759 0.2777 0.7544
18 Cl 0.0871 0.8821 0.6355
19 Cl 0.1179 0.9129 0.8645
20 Cl 0.1393 0.5293 0.0969
21 Cl 0.2184 0.0502 0.4790
22 Cl 0.2223 0.4241 0.2544
23 Cl 0.2777 0.0759 0.2544
24 Cl 0.2816 0.4498 0.4790
25 Cl 0.3607 0.9707 0.0969
26 Cl 0.3821 0.5871 0.8645
27 Cl 0.4129 0.6179 0.6355
28 Cl 0.4241 0.2223 0.7544
29 Cl 0.4498 0.2816 0.9790
30 Cl 0.4707 0.8607 0.4031
31 Cl 0.5293 0.1393 0.5969
32 Cl 0.5502 0.7184 0.0210
33 Cl 0.5759 0.7777 0.2456
34 Cl 0.5871 0.3821 0.3645
35 Cl 0.6179 0.4129 0.1355
36 Cl 0.6393 0.0293 0.9031
37 Cl 0.7184 0.5502 0.5210
38 Cl 0.7223 0.9241 0.7456
39 Cl 0.7777 0.5759 0.7456
40 Cl 0.7816 0.9498 0.5210
41 Cl 0.8607 0.4707 0.9031
42 Cl 0.8821 0.0871 0.1355
43 Cl 0.9129 0.1179 0.3645
44 Cl 0.9241 0.7223 0.2456
45 Cl 0.9498 0.7816 0.0210
46 Cl 0.9707 0.3607 0.5969

The 6 most intense peaks (15 to 90 degrees two-theta), most intense first:
d = 2.549 Å, 2θ = 35.21°, intensity 100; d = 4.186 Å, 2θ = 21.22°, intensity 99; d = 4.038 Å, 2θ = 22.01°, intensity 58; d = 2.139 Å, 2θ = 42.25°, intensity 53; d = 3.475 Å, 2θ = 25.63°, intensity 41; d = 2.217 Å, 2θ = 40.70°, intensity 32


(2)
The following is a calculated X-ray diffraction stick pattern of Sr3LaCl9. It was derived from a cell relaxed with PBE, using a wavelength of 1.5418 Å.

a = 7.3894 Å, b = 6.8846 Å, c = 28.9539 Å
α = 90.00°, β = 91.94°, γ = 90.00°
Atoms (fractional coordinates):
1 Sr 0.0000 0.0037 0.0000
2 Sr 0.0000 0.9963 0.5000
3 Sr 0.4745 0.4865 0.2605
4 Sr 0.4745 0.5135 0.7605
5 Sr 0.5110 0.4796 0.5001
6 Sr 0.5110 0.5204 0.0001
7 Sr 0.5753 0.0140 0.3831
8 Sr 0.5753 0.9860 0.8831
9 Sr 0.6090 0.0101 0.6234
10 Sr 0.6090 0.9899 0.1234
11 Sr 0.9681 0.0284 0.2592
12 Sr 0.9681 0.9716 0.7592
13 La 0.0875 0.4797 0.3851
14 La 0.0875 0.5203 0.8851
15 La 0.1128 0.4570 0.6250
16 La 0.1128 0.5430 0.1250
17 Cl 0.1388 0.3939 0.9856
18 Cl 0.1388 0.6061 0.4856
19 Cl 0.1450 0.3264 0.7980
20 Cl 0.1450 0.6736 0.2980
21 Cl 0.1870 0.2908 0.2010
22 Cl 0.1870 0.7092 0.7010
23 Cl 0.2776 0.2014 0.3226
24 Cl 0.2776 0.7986 0.8226
25 Cl 0.2839 0.1802 0.4407
26 Cl 0.2839 0.8198 0.9407
27 Cl 0.2925 0.1845 0.5635
28 Cl 0.2925 0.8155 0.0635
29 Cl 0.3672 0.2426 0.6823
30 Cl 0.3672 0.7574 0.1823
31 Cl 0.4257 0.3510 0.0927
32 Cl 0.4257 0.6490 0.5927
33 Cl 0.4472 0.3881 0.8953
34 Cl 0.4472 0.6119 0.3953
35 Cl 0.6238 0.1185 0.9929
36 Cl 0.6238 0.8815 0.4929
37 Cl 0.6402 0.1557 0.7922
38 Cl 0.6402 0.8443 0.2922
39 Cl 0.6905 0.2372 0.2029
40 Cl 0.6905 0.7628 0.7029
41 Cl 0.7957 0.3155 0.3241
42 Cl 0.7957 0.6845 0.8241
43 Cl 0.8002 0.3038 0.4413
44 Cl 0.8002 0.6962 0.9413
45 Cl 0.8118 0.2971 0.5635
46 Cl 0.8118 0.7029 0.0635
47 Cl 0.8771 0.2455 0.6817
48 Cl 0.8771 0.7545 0.1817
49 Cl 0.9367 0.1506 0.8969
50 Cl 0.9367 0.8494 0.3969
51 Cl 0.9393 0.1995 0.0919
52 Cl 0.9393 0.8005 0.5919

The 6 most intense peaks (15 to 90 degrees two-theta), most intense first:
d = 4.179 Å, 2θ = 21.26°, intensity 100; d = 4.089 Å, 2θ = 21.73°, intensity 90; d = 2.493 Å, 2θ = 36.02°, intensity 78; d = 2.318 Å, 2θ = 38.84°, intensity 47; d = 2.518 Å, 2θ = 35.65°, intensity 46; d = 5.036 Å, 2θ = 17.61°, intensity 40


(3)
The following is a calculated X-ray diffraction stick pattern of Sr3La2Cl12. It was derived from a cell relaxed with PBE, using a wavelength of 1.5418 Å.

a = 8.6895 Å, b = 8.6895 Å, c = 15.5347 Å
α = 100.50°, β = 100.50°, γ = 109.94°
Atoms (fractional coordinates):
1 Sr 0.1191 0.8809 0.7500
2 Sr 0.2077 0.4517 0.9233
3 Sr 0.4517 0.2077 0.4233
4 Sr 0.5483 0.7923 0.5767
5 Sr 0.7923 0.5483 0.0767
6 Sr 0.8809 0.1191 0.2500
7 La 0.0429 0.2995 0.5942
8 La 0.2995 0.0429 0.0942
9 La 0.7005 0.9571 0.9058
10 La 0.9571 0.7005 0.4058
11 Cl 0.0456 0.5154 0.7572
12 Cl 0.0698 0.0930 0.9261
13 Cl 0.0930 0.0698 0.4261
14 Cl 0.1175 0.6659 0.5800
15 Cl 0.1820 0.6834 0.0798
16 Cl 0.2318 0.2332 0.7455
17 Cl 0.2332 0.2318 0.2455
18 Cl 0.3166 0.8180 0.4202
19 Cl 0.3341 0.8825 0.9200
20 Cl 0.3757 0.4362 0.5740
21 Cl 0.4362 0.3757 0.0740
22 Cl 0.4846 0.9544 0.7428
23 Cl 0.5154 0.0456 0.2572
24 Cl 0.5638 0.6243 0.9260
25 Cl 0.6243 0.5638 0.4260
26 Cl 0.6659 0.1175 0.0800
27 Cl 0.6834 0.1820 0.5798
28 Cl 0.7668 0.7682 0.7545
29 Cl 0.7682 0.7668 0.2545
30 Cl 0.8180 0.3166 0.9202
31 Cl 0.8825 0.3341 0.4200
32 Cl 0.9070 0.9302 0.5739
33 Cl 0.9302 0.9070 0.0739
34 Cl 0.9544 0.4846 0.2428

The 6 most intense peaks (15 to 90 degrees two-theta), most intense first:
d = 2.495 Å, 2θ = 36.00°, intensity 100; d = 4.084 Å, 2θ = 21.76°, intensity 51; d = 4.041 Å, 2θ = 21.99°, intensity 49; d = 2.455 Å, 2θ = 36.60°, intensity 20; d = 1.439 Å, 2θ = 64.76°, intensity 10; d = 4.778 Å, 2θ = 18.57°, intensity 10


(4)
The following is a calculated X-ray diffraction stick pattern of LiCl. It was derived from a cell relaxed with PBE, using a wavelength of 1.5418 Å.

a = 3.6435 Å, b = 3.6435 Å, c = 3.6435 Å
α = 60.00°, β = 60.00°, γ = 60.00°
Atoms (fractional coordinates):
1 Li 0.0000 0.0000 0.0000
2 Cl 0.5000 0.5000 0.5000

The 6 most intense peaks (15 to 90 degrees two-theta), most intense first:
d = 2.975 Å, 2θ = 30.04°, intensity 100; d = 2.576 Å, 2θ = 34.82°, intensity 85; d = 1.822 Å, 2θ = 50.07°, intensity 53; d = 1.554 Å, 2θ = 59.50°, intensity 31; d = 1.152 Å, 2θ = 83.99°, intensity 22; d = 1.487 Å, 2θ = 62.43°, intensity 17


(5)
The following is a calculated X-ray diffraction stick pattern of LiCl. It was derived from a cell relaxed with PBE, using a wavelength of 1.5418 Å.

a = 3.9249 Å, b = 3.9249 Å, c = 6.3572 Å
α = 90.00°, β = 90.00°, γ = 120.00°
Atoms (fractional coordinates):
1 Li 0.3333 0.6667 0.0000
2 Li 0.6667 0.3333 0.5000
3 Cl 0.3333 0.6667 0.6230
4 Cl 0.6667 0.3333 0.1230

The 6 most intense peaks (15 to 90 degrees two-theta), most intense first:
d = 2.997 Å, 2θ = 29.81°, intensity 100; d = 3.399 Å, 2θ = 26.22°, intensity 38; d = 3.179 Å, 2θ = 28.07°, intensity 33; d = 1.798 Å, 2θ = 50.77°, intensity 27; d = 1.962 Å, 2θ = 46.26°, intensity 27; d = 1.670 Å, 2θ = 54.99°, intensity 23


(6)
The following is a calculated X-ray diffraction stick pattern of Li2MgCl4. It was derived from a cell relaxed with PBE, using a wavelength of 1.5418 Å.

a = 7.4316 Å, b = 7.4316 Å, c = 7.4316 Å
α = 120.18°, β = 119.49°, γ = 90.29°
Atoms (fractional coordinates):
1 Li 0.0000 0.0000 0.5000
2 Li 0.0000 0.5000 0.0000
3 Li 0.3844 0.1344 0.2500
4 Li 0.6156 0.8656 0.7500
5 Mg 0.0000 0.5000 0.5000
6 Mg 0.5000 0.5000 0.0000
7 Cl 0.2252 0.7378 0.4874
8 Cl 0.2466 0.2629 0.5163
9 Cl 0.2466 0.7303 0.9837
10 Cl 0.2496 0.2622 0.9874
11 Cl 0.7504 0.7378 0.0126
12 Cl 0.7534 0.2697 0.0163
13 Cl 0.7534 0.7371 0.4837
14 Cl 0.7748 0.2622 0.5126

The 6 most intense peaks (15 to 90 degrees two-theta), most intense first:
d = 2.634 Å, 2θ = 34.04°, intensity 100; d = 3.047 Å, 2θ = 29.31°, intensity 69; d = 3.026 Å, 2θ = 29.52°, intensity 68; d = 1.858 Å, 2θ = 49.03°, intensity 68; d = 2.621 Å, 2θ = 34.21°, intensity 49; d = 1.583 Å, 2θ = 58.28°, intensity 19